MnGaCoRuS: theoretical XRD peak list (Cu Kα (λ = 1.5418 Å)), based on a crystal structure in Alexandria, relaxed with PBE.
Lines closer than 0.1° are merged.

The 12 most intense peaks (2θ = 10–90°), by angle:
| h k l | 2theta | d/Å | I_rel |
| --- | --- | --- | --- |
| 0 0 1 | 15.24 | 5.813 | 547 |
| 0 0 2 | 30.76 | 2.906 | 229 |
| 1 1 0 | 35.70 | 2.515 | 89 |
| 1 1 1 | 39.03 | 2.308 | 1000 |
| 0 0 3 | 46.89 | 1.938 | 208 |
| 1 1 2 | 47.83 | 1.902 | 662 |
| 0 2 0 | 50.17 | 1.819 | 209 |
| 2 0 0 | 52.58 | 1.740 | 180 |
| 0 2 3 | 71.10 | 1.326 | 112 |
| 2 0 3 | 73.08 | 1.295 | 103 |
| 2 2 0 | 75.60 | 1.258 | 249 |
| 1 3 1 | 86.67 | 1.123 | 91 |

Crystal structure
```
MnGaCoRuS
1.0
3.4809 0.0000 0.0000
0.0000 3.6370 0.0000
0.0000 0.0000 5.8127
Mn Ga Co Ru S
1 1 1 1 1
Cartesian
0.0000 0.0000 0.0000
1.7404 0.0000 1.9672
1.7404 1.8185 0.0216
0.0000 1.8185 2.0642
0.0000 1.8185 4.4081
```